Entry 1:
This entry pairs a crystal structure of La7Pr2Nd3 with its calculated powder diffraction line list. Radiation: Cu Kα. Structure: a crystal structure in Alexandria, relaxed with PBE.

Top 10 peaks for 2θ from 10° to 90°, in order of rising 2θ:
2theta  I_rel
26.92  22.0
28.83  40.2
29.75  61.6
30.25  26.4
30.66  100.0
32.63  37.3
42.94  20.2
43.99  15.1
53.37  21.0
58.92  17.7

Structural model:
a b c (Å): 6.0062 3.6752 20.0916
angles (deg): 90.00 98.45 90.00
Atoms (fractional coordinates):
La: 0.0000 0.0000 0.0000
La: 0.0932 0.5000 0.1849
La: 0.2676 0.5000 0.5357
La: 0.4266 0.0000 0.8550
La: 0.5734 0.0000 0.1450
La: 0.7324 0.5000 0.4643
La: 0.9068 0.5000 0.8151
Pr: 0.3507 0.5000 0.7029
Pr: 0.6493 0.5000 0.2971
Nd: 0.1841 0.0000 0.3674
Nd: 0.5000 0.5000 0.0000
Nd: 0.8159 0.0000 0.6326

***

Entry 2:
This entry pairs a crystal structure of RbCdGaAu with its calculated powder diffraction line list. Radiation: Cu Kα. Structure: a crystal structure in Alexandria, relaxed with PBE.

Top 10 peaks for 2θ from 10° to 90°, in order of rising 2θ:
2theta  I_rel
13.60  100.0
23.66  21.9
27.40  34.3
28.53  71.8
38.26  75.6
39.13  19.9
40.79  42.2
47.70  45.2
48.42  16.8
51.92  20.3

Structural model:
a b c (Å): 7.0544 7.0544 7.0544
angles (deg): 38.96 38.96 38.96
Atoms (fractional coordinates):
Rb: 0.0000 0.0000 0.0000
Cd: 0.8113 0.8113 0.8113
Ga: 0.1965 0.1965 0.1965
Au: 0.5215 0.5215 0.5215

***

Entry 3:
This entry pairs a crystal structure of Ba3Ca7 with its calculated powder diffraction line list. Radiation: Cu Kα. Structure: a crystal structure in Alexandria, relaxed with PBE.

Top 10 peaks for 2θ from 10° to 90°, in order of rising 2θ:
2theta  I_rel
15.49  12.7
26.73  100.0
30.69  18.2
30.91  16.9
31.27  16.5
44.11  12.1
44.38  12.0
52.18  14.9
52.47  14.0
52.95  13.9

Structural model:
a b c (Å): 10.7889 10.7889 8.1420
angles (deg): 101.50 101.50 31.34
Atoms (fractional coordinates):
Ba: 0.0000 0.0000 0.0000
Ba: 0.1995 0.1995 0.6086
Ba: 0.8005 0.8005 0.3914
Ca: 0.0000 0.0000 0.5000
Ca: 0.1986 0.1986 0.0978
Ca: 0.3984 0.3984 0.1937
Ca: 0.4046 0.4046 0.6958
Ca: 0.5954 0.5954 0.3042
Ca: 0.6016 0.6016 0.8063
Ca: 0.8014 0.8014 0.9022

***

Entry 4:
This entry pairs a crystal structure of BC3 with its calculated powder diffraction line list. Radiation: Cu Kα. Structure: a crystal structure in Alexandria, relaxed with PBE.

Top 10 peaks for 2θ from 10° to 90°, in order of rising 2θ:
2theta  I_rel
42.14  48.3
42.43  51.5
42.95  100.0
72.29  26.2
72.47  13.2
72.69  25.6
74.34  12.6
87.91  9.1
88.29  7.7
89.54  8.2

Structural model:
a b c (Å): 5.8750 5.8750 5.2167
angles (deg): 102.45 102.45 25.09
Atoms (fractional coordinates):
B: 0.0000 0.0000 0.0000
B: 0.3389 0.3389 0.1653
B: 0.5871 0.5871 0.5490
C: 0.2487 0.2487 0.3878
C: 0.2519 0.2519 0.8697
C: 0.3338 0.3338 0.6664
C: 0.5971 0.5971 0.0484
C: 0.6747 0.6747 0.3308
C: 0.6749 0.6749 0.8457
C: 0.9140 0.9140 0.7051
C: 0.9243 0.9243 0.2276
C: 0.9925 0.9925 0.5017

***

Entry 5:
This entry pairs a crystal structure of TmNb4Se8 with its calculated powder diffraction line list. Radiation: Cu Kα. Structure: a crystal structure in Alexandria, relaxed with PBE.

Top 10 peaks for 2θ from 10° to 90°, in order of rising 2θ:
2theta  I_rel
12.90  15.4
15.04  11.2
16.80  11.3
33.98  100.0
46.00  42.0
51.51  29.9
53.39  11.0
63.15  16.0
77.38  17.5
85.76  13.7

Structural model:
a b c (Å): 7.9926 7.9926 7.9926
angles (deg): 52.71 52.71 52.71
Atoms (fractional coordinates):
Tm: 0.0000 0.0000 0.0000
Nb: 0.0000 0.0000 0.5000
Nb: 0.0000 0.5000 0.0000
Nb: 0.5000 0.0000 0.0000
Nb: 0.5000 0.5000 0.5000
Se: 0.2468 0.2468 0.2468
Se: 0.2569 0.2569 0.7417
Se: 0.2569 0.7417 0.2569
Se: 0.2583 0.7431 0.7431
Se: 0.7417 0.2569 0.2569
Se: 0.7431 0.2583 0.7431
Se: 0.7431 0.7431 0.2583
Se: 0.7532 0.7532 0.7532

***

Entry 6:
This entry pairs a crystal structure of Sm2Cr2Fe15C2 with its calculated powder diffraction line list. Radiation: Cu Kα. Structure: a crystal structure in Alexandria, relaxed with PBE.

Top 10 peaks for 2θ from 10° to 90°, in order of rising 2θ:
2theta  I_rel
29.92  44.0
36.01  36.1
37.69  26.5
41.82  67.0
42.32  100.0
43.32  16.7
43.80  41.8
47.50  16.3
61.82  17.6
76.37  15.0

Structural model:
a b c (Å): 6.4738 6.4738 6.4871
angles (deg): 96.35 96.35 83.64
Atoms (fractional coordinates):
Sm: 0.1496 0.1496 0.3350
Sm: 0.8504 0.8504 0.6650
Cr: 0.4145 0.4145 0.0862
Cr: 0.5855 0.5855 0.9138
Fe: 0.0000 0.5000 0.0000
Fe: 0.1575 0.1575 0.8564
Fe: 0.1573 0.6457 0.3389
Fe: 0.2145 0.4965 0.7123
Fe: 0.2191 0.7809 0.0000
Fe: 0.3543 0.8427 0.6611
Fe: 0.4965 0.2145 0.7123
Fe: 0.5000 0.0000 0.0000
Fe: 0.5000 0.5000 0.5000
Fe: 0.5035 0.7855 0.2877
Fe: 0.6457 0.1573 0.3389
Fe: 0.7809 0.2191 0.0000
Fe: 0.7855 0.5035 0.2877
Fe: 0.8427 0.3543 0.6611
Fe: 0.8425 0.8425 0.1436
C: 0.0000 0.5000 0.5000
C: 0.5000 0.0000 0.5000

***

Entry 7:
This entry pairs a crystal structure of CsS14I with its calculated powder diffraction line list. Radiation: Cu Kα. Structure: a crystal structure in Alexandria, relaxed with PBE.

Top 10 peaks for 2θ from 10° to 90°, in order of rising 2θ:
2theta  I_rel
22.14  48.3
23.96  100.0
24.70  44.3
26.69  22.3
27.77  45.7
29.93  32.5
33.12  17.0
33.73  32.8
35.71  26.2
36.83  25.5

Structural model:
a b c (Å): 12.6418 12.6418 12.6418
angles (deg): 144.92 75.15 115.97
Atoms (fractional coordinates):
Cs: 0.5000 0.0000 0.0000
Cs: 0.5000 0.5000 0.5000
S: 0.0936 0.8908 0.2028
S: 0.1269 0.0250 0.7621
S: 0.1269 0.3647 0.1019
S: 0.1703 0.3495 0.3813
S: 0.1703 0.7891 0.8208
S: 0.1880 0.8908 0.2972
S: 0.2136 0.0762 0.1374
S: 0.2230 0.5622 0.6608
S: 0.2372 0.6353 0.2621
S: 0.2372 0.9750 0.6019
S: 0.4014 0.5622 0.8392
S: 0.4388 0.0762 0.3626
S: 0.4683 0.3495 0.6792
S: 0.4683 0.7891 0.1187
S: 0.5317 0.2109 0.8813
S: 0.5317 0.6505 0.3208
S: 0.5612 0.9238 0.6374
S: 0.5986 0.4378 0.1608
S: 0.7628 0.0250 0.3981
S: 0.7628 0.3647 0.7379
S: 0.7770 0.4378 0.3392
S: 0.7864 0.9238 0.8626
S: 0.8120 0.1092 0.7028
S: 0.8297 0.2109 0.1792
S: 0.8297 0.6505 0.6187
S: 0.8731 0.6353 0.8981
S: 0.8731 0.9750 0.2379
S: 0.9064 0.1092 0.7972
I: 0.1213 0.3713 0.7500
I: 0.8787 0.6287 0.2500

***

Please write out number 7 again, unchanged.
This entry pairs a crystal structure of CsS14I with its calculated powder diffraction line list. Radiation: Cu Kα. Structure: a crystal structure in Alexandria, relaxed with PBE.

Top 10 peaks for 2θ from 10° to 90°, in order of rising 2θ:
2theta  I_rel
22.14  48.3
23.96  100.0
24.70  44.3
26.69  22.3
27.77  45.7
29.93  32.5
33.12  17.0
33.73  32.8
35.71  26.2
36.83  25.5

Structural model:
a b c (Å): 12.6418 12.6418 12.6418
angles (deg): 144.92 75.15 115.97
Atoms (fractional coordinates):
Cs: 0.5000 0.0000 0.0000
Cs: 0.5000 0.5000 0.5000
S: 0.0936 0.8908 0.2028
S: 0.1269 0.0250 0.7621
S: 0.1269 0.3647 0.1019
S: 0.1703 0.3495 0.3813
S: 0.1703 0.7891 0.8208
S: 0.1880 0.8908 0.2972
S: 0.2136 0.0762 0.1374
S: 0.2230 0.5622 0.6608
S: 0.2372 0.6353 0.2621
S: 0.2372 0.9750 0.6019
S: 0.4014 0.5622 0.8392
S: 0.4388 0.0762 0.3626
S: 0.4683 0.3495 0.6792
S: 0.4683 0.7891 0.1187
S: 0.5317 0.2109 0.8813
S: 0.5317 0.6505 0.3208
S: 0.5612 0.9238 0.6374
S: 0.5986 0.4378 0.1608
S: 0.7628 0.0250 0.3981
S: 0.7628 0.3647 0.7379
S: 0.7770 0.4378 0.3392
S: 0.7864 0.9238 0.8626
S: 0.8120 0.1092 0.7028
S: 0.8297 0.2109 0.1792
S: 0.8297 0.6505 0.6187
S: 0.8731 0.6353 0.8981
S: 0.8731 0.9750 0.2379
S: 0.9064 0.1092 0.7972
I: 0.1213 0.3713 0.7500
I: 0.8787 0.6287 0.2500

***

Which formula does entry 6 have? Sm2Cr2Fe15C2